Mg2CoMo3S8: computed powder diffraction line list (Cu Kα (weighted mean of Kα1 and Kα2)), based on the GGA-PBE geometry in the Materials Project.
Peak positions follow from Bragg's law for the DFT cell and can differ from measured ones.

Most intense lines, 2θ = 5–70°, in order of rising 2θ:
2θ 14.74, I 712, (1 0 1)
2θ 15.08, I 362, (0 0 3)
2θ 28.37, I 390, (0 2 1)
2θ 28.56, I 359, (1 1 3)
2θ 28.92, I 192, (0 1 5)
2θ 34.67, I 1000, (0 2 4)
2θ 45.26, I 121, (0 3 3)
2θ 45.51, I 230, (1 2 5)
2θ 45.87, I 117, (0 2 7)
2θ 49.38, I 451, (2 2 0)
2θ 50.29, I 443, (2 0 8)
2θ 61.73, I 148, (4 0 4)

Cell and atoms:
Cell: 7.3830 7.3830 17.6266 Å, 90.00 90.00 120.00°
Space group R-3m (No. 166, hexagonal axes)
Symmetry-distinct sites (fractional):
1 Mg 0.0000 0.0000 0.1220
2 Co 0.0000 0.0000 0.5000
3 Mo 0.0000 0.5000 0.0000
4 S 0.0000 0.0000 0.2601
5 S 0.0390 0.5195 0.2492



MgCo2N2: computed powder diffraction line list (Cu Kα (weighted mean of Kα1 and Kα2)), based on the GGA-PBE geometry in the Materials Project.
Peak positions follow from Bragg's law for the DFT cell and can differ from measured ones.

Most intense lines, 2θ = 5–70°, in order of rising 2θ:
2θ 17.60, I 34, (0 0 1)
2θ 25.72, I 1000, (1 0 0)
2θ 31.34, I 234, (1 0 1)
2θ 35.64, I 331, (0 0 2)
2θ 36.69, I 601, (1 1 0)
2θ 44.46, I 993, (1 0 2)
2θ 52.08, I 149, (1 1 2)
2θ 52.86, I 387, (2 0 0)
2θ 59.69, I 166, (2 1 0)
2θ 62.75, I 48, (2 1 1)
2θ 65.39, I 177, (2 0 2)
2θ 67.63, I 23, (1 1 3)

Cell and atoms:
Cell: 3.464 3.464 5.039 Å, 90.00 90.00 90.00°
Space group P-4m2 (No. 115)
Symmetry-distinct sites (fractional):
1 Mg 0.000 0.000 0.000
2 Co 0.500 0.500 0.260
3 N 0.000 0.500 0.739



MgCoN: computed powder diffraction line list (Cu Kα (weighted mean of Kα1 and Kα2)), based on the GGA-PBE geometry in the Materials Project.
Peak positions follow from Bragg's law for the DFT cell and can differ from measured ones.

Most intense lines, 2θ = 5–70°, in order of rising 2θ:
2θ 20.02, I 1000, (1 0 1)
2θ 23.21, I 638, (2 0 0)
2θ 28.49, I 314, (2 0 1)
2θ 34.85, I 580, (2 1 0)
2θ 35.02, I 385, (1 0 2)
2θ 38.69, I 363, (2 1 1)
2θ 38.95, I 345, (3 0 1)
2θ 43.89, I 951, (1 1 2)
2θ 47.21, I 273, (3 1 1)
2θ 48.92, I 229, (3 0 2)
2θ 50.50, I 337, (4 0 1)
2θ 52.66, I 322, (0 2 0)

Cell and atoms:
Cell: 7.665 3.476 5.438 Å, 90.00 90.00 90.00°
Space group Pnma (No. 62)
Symmetry-distinct sites (fractional):
1 Mg 0.176 0.250 0.078
2 Co 0.054 0.250 0.629
3 N 0.059 0.750 0.723



Mg5CoN4: computed powder diffraction line list (Cu Kα (weighted mean of Kα1 and Kα2)), based on the GGA-PBE geometry in the Materials Project.
Peak positions follow from Bragg's law for the DFT cell and can differ from measured ones.

Most intense lines, 2θ = 5–70°, in order of rising 2θ:
2θ 18.21, I 222, (1 1 0)
2θ 21.23, I 475, (0 1 1)
2θ 21.67, I 154, (1 0 1)
2θ 31.80, I 233, (2 0 1)
2θ 34.28, I 793, (2 1 1)
2θ 34.61, I 291, (0 0 2)
2θ 36.90, I 394, (2 2 0)
2θ 42.01, I 588, (0 3 1)
2θ 51.49, I 1000, (2 2 2)
2θ 54.78, I 234, (4 0 0)
2θ 61.82, I 196, (2 1 3)
2θ 66.44, I 93, (4 0 2)

Cell and atoms:
Cell: 6.703 7.092 5.183 Å, 90.00 90.00 90.00°
Space group Pmmn (No. 59, origin choice 2)
Symmetry-distinct sites (fractional):
1 Mg 0.004 0.050 0.248
2 Mg 0.250 0.250 0.719
3 Co 0.250 0.750 0.288
4 N 0.005 0.750 0.053
5 N 0.250 0.000 0.503



MgCo2N2: computed powder diffraction line list (Cu Kα (weighted mean of Kα1 and Kα2)), based on the GGA-PBE geometry in the Materials Project.
Peak positions follow from Bragg's law for the DFT cell and can differ from measured ones.

Most intense lines, 2θ = 5–70°, in order of rising 2θ:
2θ 23.21, I 1000, (0 0 1)
2θ 24.77, I 285, (0 1 0)
2θ 35.52, I 698, (1 0 -1)
2θ 36.30, I 830, (1 1 1)
2θ 38.05, I 774, (0 1 -1)
2θ 39.16, I 831, (1 -1 0)
2θ 48.45, I 406, (0 1 2)
2θ 50.94, I 457, (0 2 1)
2θ 53.21, I 392, (1 2 0)
2θ 53.99, I 360, (1 0 2)
2θ 54.80, I 312, (2 1 0)
2θ 57.83, I 285, (2 0 1)

Cell and atoms:
Cell: 3.520 3.758 3.947 Å, 76.21 85.75 79.31°
Space group P1 (No. 1)
Symmetry-distinct sites (fractional):
1 Mg 0.000 0.000 0.000
2 Co 0.295 0.323 0.396
3 Co 0.716 0.661 0.617
4 N 0.199 0.824 0.523
5 N 0.758 0.508 0.153



MgCoN2: computed powder diffraction line list (Cu Kα (weighted mean of Kα1 and Kα2)), based on the GGA-PBE geometry in the Materials Project.
Peak positions follow from Bragg's law for the DFT cell and can differ from measured ones.

Most intense lines, 2θ = 5–70°, in order of rising 2θ:
2θ 21.03, I 407, (1 1 0)
2θ 22.46, I 527, (0 1 1)
2θ 31.82, I 320, (2 0 0)
2θ 32.19, I 641, (1 2 0)
2θ 35.64, I 656, (0 0 2)
2θ 36.60, I 511, (2 0 1)
2θ 36.92, I 1000, (1 2 1)
2θ 48.77, I 264, (1 2 2)
2θ 56.93, I 387, (3 2 0)
2θ 57.61, I 187, (0 4 0)
2θ 64.86, I 329, (1 2 3)
2θ 69.00, I 302, (3 2 2)

Cell and atoms:
Cell: 5.624 6.399 5.038 Å, 90.00 90.00 90.00°
Space group Pna2_1 (No. 33)
Symmetry-distinct sites (fractional):
1 Mg 0.099 0.122 0.000
2 Co 0.079 0.631 0.011
3 N 0.055 0.601 0.364
4 N 0.108 0.147 0.422